(1)
# Rb2LiAsF6
Calculated X-ray powder pattern, Cu Ka. Input: a structure optimized by DFT (PBE).
Intensities are scaled so that the largest is 100.

Cell and atoms:
```
data_Rb2LiAsF6
_space_group_name_H-M_alt 'P 1'
_space_group_IT_number 1
_space_group_name_Hall 'P 1'
_cell_length_a 6.028
_cell_length_b 6.028
_cell_length_c 6.028
_cell_angle_alpha 60.00
_cell_angle_beta 60.00
_cell_angle_gamma 60.00
loop_
_atom_site_label
_atom_site_type_symbol
_atom_site_fract_x
_atom_site_fract_y
_atom_site_fract_z
Rb1 Rb 0.250 0.250 0.250
Rb2 Rb 0.750 0.750 0.750
Li1 Li 0.000 0.000 0.000
As1 As 0.500 0.500 0.500
F1 F 0.255 0.255 0.745
F2 F 0.255 0.745 0.255
F3 F 0.255 0.745 0.745
F4 F 0.745 0.255 0.255
F5 F 0.745 0.255 0.745
F6 F 0.745 0.745 0.255
```

Main lines, in order of rising 2θ (2θ = 15–90°):
Position (°2θ)  I/Imax
18.0  28
29.6  100
34.9  14
36.5  35
42.4  54
52.6  41
61.5  33
69.8  18
77.6  10
85.2  22


(2)
# LiAsXe3F12
Calculated X-ray powder pattern, Cu Ka. Input: a structure optimized by DFT (PBE).
Intensities are scaled so that the largest is 100.

Cell and atoms:
```
data_LiAsXe3F12
_space_group_name_H-M_alt 'P 1'
_space_group_IT_number 1
_space_group_name_Hall 'P 1'
_cell_length_a 7.229
_cell_length_b 13.817
_cell_length_c 7.229
_cell_angle_alpha 90.00
_cell_angle_beta 91.74
_cell_angle_gamma 90.00
loop_
_atom_site_label
_atom_site_type_symbol
_atom_site_fract_x
_atom_site_fract_y
_atom_site_fract_z
Li1 Li 0.227 0.000 0.312
Li2 Li 0.773 0.500 0.688
As1 As 0.288 0.741 0.203
As2 As 0.712 0.241 0.797
Xe1 Xe 0.212 0.269 0.277
Xe2 Xe 0.231 0.011 0.812
Xe3 Xe 0.273 0.511 0.691
Xe4 Xe 0.727 0.011 0.309
Xe5 Xe 0.769 0.511 0.188
Xe6 Xe 0.788 0.769 0.723
F1 F 0.021 0.456 0.590
F2 F 0.044 0.750 0.188
F3 F 0.109 0.043 0.061
F4 F 0.154 0.138 0.409
F5 F 0.265 0.399 0.151
F6 F 0.277 0.614 0.202
F7 F 0.281 0.743 0.447
F8 F 0.293 0.745 0.958
F9 F 0.304 0.873 0.204
F10 F 0.354 0.976 0.564
F11 F 0.467 0.237 0.784
F12 F 0.471 0.061 0.214
F13 F 0.529 0.561 0.786
F14 F 0.533 0.737 0.216
F15 F 0.646 0.476 0.436
F16 F 0.696 0.373 0.796
F17 F 0.707 0.245 0.042
F18 F 0.719 0.243 0.553
F19 F 0.723 0.114 0.798
F20 F 0.735 0.899 0.849
F21 F 0.846 0.638 0.591
F22 F 0.891 0.543 0.939
F23 F 0.956 0.250 0.812
F24 F 0.979 0.956 0.410
```

Main lines, in order of rising 2θ (2θ = 15–90°):
Position (°2θ)  I/Imax
18.3  14
21.4  81
21.8  100
24.6  67
25.5  23
25.8  51
36.0  32
39.6  17
42.0  26
43.2  17


(3)
# MgAs2Xe2F16
Calculated X-ray powder pattern, Cu Ka. Input: a structure optimized by DFT (PBE).
Intensities are scaled so that the largest is 100.

Cell and atoms:
```
data_MgAs2Xe2F16
_space_group_name_H-M_alt 'P 1'
_space_group_IT_number 1
_space_group_name_Hall 'P 1'
_cell_length_a 9.266
_cell_length_b 15.573
_cell_length_c 5.456
_cell_angle_alpha 90.00
_cell_angle_beta 90.00
_cell_angle_gamma 90.00
loop_
_atom_site_label
_atom_site_type_symbol
_atom_site_fract_x
_atom_site_fract_y
_atom_site_fract_z
Mg1 Mg 0.000 0.000 0.000
Mg2 Mg 0.500 0.500 0.000
As1 As 0.244 0.079 0.500
As2 As 0.256 0.579 0.500
As3 As 0.744 0.421 0.500
As4 As 0.756 0.921 0.500
Xe1 Xe 0.164 0.329 0.000
Xe2 Xe 0.336 0.829 0.000
Xe3 Xe 0.664 0.171 0.000
Xe4 Xe 0.836 0.671 0.000
F1 F 0.002 0.754 0.000
F2 F 0.101 0.070 0.270
F3 F 0.101 0.070 0.730
F4 F 0.128 0.588 0.267
F5 F 0.128 0.588 0.733
F6 F 0.157 0.916 0.000
F7 F 0.211 0.190 0.500
F8 F 0.242 0.467 0.500
F9 F 0.258 0.967 0.500
F10 F 0.289 0.690 0.500
F11 F 0.343 0.416 0.000
F12 F 0.372 0.088 0.267
F13 F 0.372 0.088 0.733
F14 F 0.399 0.570 0.270
F15 F 0.399 0.570 0.730
F16 F 0.498 0.254 0.000
F17 F 0.502 0.746 0.000
F18 F 0.601 0.430 0.270
F19 F 0.601 0.430 0.730
F20 F 0.628 0.912 0.267
F21 F 0.628 0.912 0.733
F22 F 0.657 0.584 0.000
F23 F 0.711 0.310 0.500
F24 F 0.742 0.033 0.500
F25 F 0.758 0.533 0.500
F26 F 0.789 0.810 0.500
F27 F 0.843 0.084 0.000
F28 F 0.872 0.412 0.267
F29 F 0.872 0.412 0.733
F30 F 0.899 0.930 0.270
F31 F 0.899 0.930 0.730
F32 F 0.998 0.246 0.000
```

Main lines, in order of rising 2θ (2θ = 15–90°):
Position (°2θ)  I/Imax
19.2  21
19.6  14
19.9  27
20.0  17
22.1  100
24.8  32
25.6  13
25.9  13
32.8  13
37.7  12


(4)
# AsN2F7
Calculated X-ray powder pattern, Cu Ka. Input: a structure optimized by DFT (PBE).
Intensities are scaled so that the largest is 100.

Cell and atoms:
```
data_AsN2F7
_space_group_name_H-M_alt 'P 1'
_space_group_IT_number 1
_space_group_name_Hall 'P 1'
_cell_length_a 5.338
_cell_length_b 5.338
_cell_length_c 26.266
_cell_angle_alpha 90.63
_cell_angle_beta 90.63
_cell_angle_gamma 65.94
loop_
_atom_site_label
_atom_site_type_symbol
_atom_site_fract_x
_atom_site_fract_y
_atom_site_fract_z
As1 As 0.000 0.000 0.000
As2 As 0.000 0.000 0.200
As3 As 0.000 0.000 0.400
As4 As 0.000 0.000 0.600
As5 As 0.000 0.000 0.800
N1 N 0.376 0.376 0.885
N2 N 0.495 0.495 0.899
N3 N 0.505 0.505 0.101
N4 N 0.505 0.505 0.301
N5 N 0.505 0.505 0.501
N6 N 0.505 0.505 0.701
N7 N 0.624 0.624 0.115
N8 N 0.624 0.624 0.315
N9 N 0.624 0.624 0.515
N10 N 0.624 0.624 0.715
F1 F 0.114 0.678 0.167
F2 F 0.114 0.678 0.367
F3 F 0.114 0.678 0.567
F4 F 0.114 0.679 0.767
F5 F 0.114 0.679 0.967
F6 F 0.132 0.132 0.150
F7 F 0.132 0.132 0.350
F8 F 0.132 0.132 0.550
F9 F 0.132 0.132 0.750
F10 F 0.132 0.132 0.950
F11 F 0.320 0.886 0.233
F12 F 0.320 0.886 0.433
F13 F 0.320 0.886 0.633
F14 F 0.321 0.886 0.033
F15 F 0.321 0.886 0.833
F16 F 0.373 0.373 0.085
F17 F 0.373 0.373 0.285
F18 F 0.373 0.373 0.485
F19 F 0.373 0.373 0.685
F20 F 0.627 0.627 0.915
F21 F 0.678 0.114 0.167
F22 F 0.678 0.114 0.367
F23 F 0.678 0.114 0.567
F24 F 0.679 0.114 0.767
F25 F 0.679 0.114 0.967
F26 F 0.868 0.868 0.050
F27 F 0.868 0.868 0.250
F28 F 0.868 0.868 0.450
F29 F 0.868 0.868 0.650
F30 F 0.868 0.868 0.850
F31 F 0.886 0.320 0.233
F32 F 0.886 0.320 0.433
F33 F 0.886 0.320 0.633
F34 F 0.886 0.321 0.033
F35 F 0.886 0.321 0.833
```

Main lines, in order of rising 2θ (2θ = 15–90°):
Position (°2θ)  I/Imax
16.9  39
18.2  76
19.8  63
24.8  73
25.0  100
26.0  19
30.8  14
39.6  26
40.9  42
51.3  29


(5)
# AsN3F6
Calculated X-ray powder pattern, Cu Ka. Input: a structure optimized by DFT (PBE).
Intensities are scaled so that the largest is 100.

Cell and atoms:
```
data_AsN3F6
_space_group_name_H-M_alt 'P 1'
_space_group_IT_number 1
_space_group_name_Hall 'P 1'
_cell_length_a 6.520
_cell_length_b 7.633
_cell_length_c 8.773
_cell_angle_alpha 65.49
_cell_angle_beta 80.81
_cell_angle_gamma 66.01
loop_
_atom_site_label
_atom_site_type_symbol
_atom_site_fract_x
_atom_site_fract_y
_atom_site_fract_z
As1 As 0.000 0.000 0.000
N1 N 0.000 0.000 0.500
N2 N 0.000 0.500 0.500
N3 N 0.500 0.000 0.000
F1 F 0.009 0.151 0.101
F2 F 0.121 0.777 0.175
F3 F 0.287 0.983 0.908
F4 F 0.713 0.017 0.092
F5 F 0.879 0.223 0.825
F6 F 0.991 0.849 0.899
```

Main lines, in order of rising 2θ (2θ = 15–90°):
Position (°2θ)  I/Imax
16.0  99
16.3  100
20.8  78
21.2  48
22.3  74
26.5  39
27.8  51
28.1  37
31.9  42
42.4  32


(6)
# AsS3N2F6
Calculated X-ray powder pattern, Cu Ka. Input: a structure optimized by DFT (PBE).
Intensities are scaled so that the largest is 100.

Cell and atoms:
```
data_AsS3N2F6
_space_group_name_H-M_alt 'P 1'
_space_group_IT_number 1
_space_group_name_Hall 'P 1'
_cell_length_a 8.632
_cell_length_b 8.503
_cell_length_c 11.417
_cell_angle_alpha 90.00
_cell_angle_beta 95.68
_cell_angle_gamma 90.00
loop_
_atom_site_label
_atom_site_type_symbol
_atom_site_fract_x
_atom_site_fract_y
_atom_site_fract_z
As1 As 0.232 0.105 0.373
As2 As 0.232 0.395 0.873
As3 As 0.768 0.605 0.127
As4 As 0.768 0.895 0.627
S1 S 0.149 0.569 0.359
S2 S 0.149 0.931 0.859
S3 S 0.354 0.631 0.556
S4 S 0.354 0.869 0.056
S5 S 0.462 0.650 0.387
S6 S 0.462 0.850 0.887
S7 S 0.538 0.150 0.113
S8 S 0.538 0.350 0.613
S9 S 0.646 0.131 0.944
S10 S 0.646 0.369 0.444
S11 S 0.851 0.069 0.141
S12 S 0.851 0.431 0.641
N1 N 0.184 0.587 0.497
N2 N 0.184 0.913 0.997
N3 N 0.306 0.610 0.305
N4 N 0.306 0.890 0.805
N5 N 0.694 0.110 0.195
N6 N 0.694 0.390 0.695
N7 N 0.816 0.087 0.003
N8 N 0.816 0.413 0.503
F1 F 0.059 0.198 0.407
F2 F 0.059 0.302 0.907
F3 F 0.129 0.566 0.823
F4 F 0.129 0.934 0.323
F5 F 0.206 0.187 0.230
F6 F 0.206 0.313 0.730
F7 F 0.264 0.028 0.517
F8 F 0.264 0.472 0.017
F9 F 0.341 0.219 0.922
F10 F 0.341 0.281 0.422
F11 F 0.409 0.020 0.337
F12 F 0.409 0.480 0.837
F13 F 0.591 0.520 0.163
F14 F 0.591 0.980 0.663
F15 F 0.659 0.719 0.578
F16 F 0.659 0.781 0.078
F17 F 0.736 0.528 0.983
F18 F 0.736 0.972 0.483
F19 F 0.794 0.687 0.270
F20 F 0.794 0.813 0.770
F21 F 0.871 0.066 0.677
F22 F 0.871 0.434 0.177
F23 F 0.941 0.698 0.093
F24 F 0.941 0.802 0.593
```

Main lines, in order of rising 2θ (2θ = 15–90°):
Position (°2θ)  I/Imax
17.1  33
17.8  100
19.6  42
20.7  32
22.3  50
24.3  46
25.0  44
31.5  13
32.6  13
34.5  14